Record 1
Theoretical powder XRD pattern of Ca4PtN4 for copper Kα, from a PBE-relaxed structure.
Peak positions follow from Bragg's law for the DFT cell and can differ from measured ones.

Unit cell a=13.421 b=3.461 c=14.383 alpha=90.00 beta=90.00 gamma=90.00
Positions (direct):
Ca 0.050 0.250 0.212
Ca 0.110 0.750 0.961
Ca 0.113 0.750 0.426
Ca 0.192 0.250 0.753
Ca 0.308 0.750 0.253
Ca 0.387 0.250 0.926
Ca 0.390 0.250 0.461
Ca 0.450 0.750 0.712
Ca 0.550 0.250 0.288
Ca 0.610 0.750 0.539
Ca 0.613 0.750 0.074
Ca 0.692 0.250 0.747
Ca 0.808 0.750 0.247
Ca 0.887 0.250 0.574
Ca 0.890 0.250 0.039
Ca 0.950 0.750 0.788
Pt 0.070 0.750 0.619
Pt 0.430 0.250 0.119
Pt 0.570 0.750 0.881
Pt 0.930 0.250 0.381
N 0.015 0.750 0.091
N 0.060 0.250 0.849
N 0.180 0.250 0.309
N 0.246 0.250 0.375
N 0.254 0.750 0.875
N 0.320 0.750 0.809
N 0.440 0.750 0.349
N 0.485 0.250 0.591
N 0.515 0.750 0.409
N 0.560 0.250 0.651
N 0.680 0.250 0.191
N 0.746 0.250 0.125
N 0.754 0.750 0.625
N 0.820 0.750 0.691
N 0.940 0.750 0.151
N 0.985 0.250 0.909

Main lines, in order of falling intensity (2θ from 10° to 80°):
13.2 deg, 6.711 Å, intensity 100.0, hkl 2 0 0
31.8 deg, 2.811 Å, intensity 70.0, hkl 1 0 5
23.4 deg, 3.799 Å, intensity 69.7, hkl 3 0 2
29.4 deg, 3.038 Å, intensity 69.5, hkl 1 1 2
14.6 deg, 6.081 Å, intensity 64.1, hkl 2 0 1
32.6 deg, 2.749 Å, intensity 60.3, hkl 4 0 3
46.6 deg, 1.950 Å, intensity 56.0, hkl 1 1 6
33.3 deg, 2.689 Å, intensity 52.6, hkl 3 1 1
37.8 deg, 2.377 Å, intensity 50.1, hkl 3 1 3
38.5 deg, 2.338 Å, intensity 47.6, hkl 2 1 4

***

Record 2
Theoretical powder XRD pattern of TaReSe4 for copper Kα, from a PBE-relaxed structure.
Peak positions follow from Bragg's law for the DFT cell and can differ from measured ones.

Unit cell a=3.454 b=3.454 c=12.922 alpha=90.00 beta=90.00 gamma=120.00
Positions (direct):
Ta 0.000 0.000 0.000
Re 0.333 0.667 0.500
Se 0.000 0.000 0.378
Se 0.000 0.000 0.622
Se 0.333 0.667 0.130
Se 0.333 0.667 0.870

Main lines, in order of falling intensity (2θ from 10° to 80°):
36.6 deg, 2.457 Å, intensity 100.0, hkl 1 0 3
13.7 deg, 6.461 Å, intensity 86.8, hkl 0 0 2
46.4 deg, 1.956 Å, intensity 48.9, hkl 1 0 5
29.9 deg, 2.991 Å, intensity 38.0, hkl 1 0 0
53.0 deg, 1.727 Å, intensity 30.4, hkl 1 1 0
66.1 deg, 1.413 Å, intensity 17.7, hkl 2 0 3
33.0 deg, 2.714 Å, intensity 16.2, hkl 1 0 2
55.0 deg, 1.668 Å, intensity 15.3, hkl 1 1 2
73.1 deg, 1.294 Å, intensity 13.8, hkl 2 0 5
30.7 deg, 2.914 Å, intensity 8.5, hkl 1 0 1

***

Record 3
Theoretical powder XRD pattern of EuDy2Se4 for copper Kα, from a PBE-relaxed structure.
Peak positions follow from Bragg's law for the DFT cell and can differ from measured ones.

Unit cell a=12.527 b=4.141 c=14.958 alpha=90.00 beta=90.00 gamma=90.00
Positions (direct):
Eu 0.242 0.250 0.164
Eu 0.258 0.750 0.664
Eu 0.742 0.250 0.336
Eu 0.758 0.750 0.836
Dy 0.067 0.250 0.390
Dy 0.082 0.250 0.901
Dy 0.418 0.750 0.401
Dy 0.433 0.750 0.890
Dy 0.567 0.250 0.110
Dy 0.582 0.250 0.599
Dy 0.918 0.750 0.099
Dy 0.933 0.750 0.610
Se 0.024 0.750 0.784
Se 0.089 0.250 0.579
Se 0.133 0.750 0.030
Se 0.207 0.750 0.324
Se 0.293 0.250 0.824
Se 0.367 0.250 0.530
Se 0.411 0.750 0.079
Se 0.476 0.250 0.284
Se 0.524 0.750 0.716
Se 0.589 0.250 0.921
Se 0.633 0.750 0.470
Se 0.707 0.750 0.176
Se 0.793 0.250 0.676
Se 0.867 0.250 0.970
Se 0.911 0.750 0.421
Se 0.976 0.250 0.216

Main lines, in order of falling intensity (2θ from 10° to 80°):
35.4 deg, 2.536 Å, intensity 100.0, hkl 2 1 4
24.4 deg, 3.646 Å, intensity 90.9, hkl 3 0 2
31.0 deg, 2.887 Å, intensity 83.8, hkl 4 0 2
28.9 deg, 3.087 Å, intensity 83.1, hkl 1 1 3
43.7 deg, 2.071 Å, intensity 61.6, hkl 0 2 0
25.6 deg, 3.480 Å, intensity 52.4, hkl 1 1 2
36.0 deg, 2.498 Å, intensity 46.5, hkl 4 1 0
23.8 deg, 3.739 Å, intensity 43.9, hkl 0 0 4
38.9 deg, 2.316 Å, intensity 43.4, hkl 2 0 6
43.6 deg, 2.078 Å, intensity 43.4, hkl 4 1 4